# 1
The following is a simulated powder diffractogram of Ba2SrAg3O6. It was derived from a crystal structure in Alexandria, relaxed with PBE, using Cu Kα, 1.54184 Å.

Most intense lines, 10° ≤ 2θ ≤ 90°, in order of rising 2θ:
two_theta	I (rel.)	hkl
25.66	21.4	1 0 2
30.17	100.0	1 0 3
30.47	70.2	1 1 0
35.62	24.3	1 0 4
43.64	36.7	2 0 0
47.36	12.2	1 1 5
53.97	38.2	2 1 3
71.98	11.6	3 1 0

Atomic structure:
```
data_Ba2SrAg3O6
_space_group_name_H-M_alt 'P 4/m m m'
_space_group_IT_number 123
_space_group_name_Hall '-P 4 2'
_cell_length_a 4.148
_cell_length_b 4.148
_cell_length_c 12.692
_cell_angle_alpha 90.00
_cell_angle_beta 90.00
_cell_angle_gamma 90.00
loop_
_atom_site_label
_atom_site_fract_x
_atom_site_fract_y
_atom_site_fract_z
Ba1 0.000 0.000 0.207
Sr1 0.000 0.000 0.500
Ag1 0.500 0.500 0.000
Ag2 0.500 0.500 0.365
O1 0.000 0.500 0.367
O2 0.500 0.500 0.160
```

# 2
The following is a simulated powder diffractogram of Ti6Nb2Mo. It was derived from a crystal structure in Alexandria, relaxed with PBE, using Cu Kα, 1.54184 Å.

Most intense lines, 10° ≤ 2θ ≤ 90°, in order of rising 2θ:
two_theta	I (rel.)	hkl
24.77	27.1	0 1 1
39.04	97.4	0 1 3
39.15	48.3	1 1 -3
39.35	100.0	1 2 0
39.51	49.5	2 1 0
56.69	15.3	2 2 3
56.81	15.3	2 0 -3
71.11	22.2	-1 2 3

Atomic structure:
```
data_Ti6Nb2Mo
_space_group_name_H-M_alt 'P -1'
_space_group_IT_number 2
_space_group_name_Hall '-P 1'
_cell_length_a 4.562
_cell_length_b 4.578
_cell_length_c 8.503
_cell_angle_alpha 89.89
_cell_angle_beta 89.84
_cell_angle_gamma 60.15
loop_
_atom_site_label
_atom_site_fract_x
_atom_site_fract_y
_atom_site_fract_z
Ti1 0.004 0.497 0.189
Ti2 0.329 0.839 0.738
Ti3 0.337 0.828 0.400
Nb1 0.336 0.832 0.069
Mo1 0.000 0.500 0.500
```

# 3
The following is a simulated powder diffractogram of KHg7Pd5. It was derived from a crystal structure in Alexandria, relaxed with PBE, using Cu Kα, 1.54184 Å.

Most intense lines, 10° ≤ 2θ ≤ 90°, in order of rising 2θ:
two_theta	I (rel.)	hkl
30.86	33.6	2 0 0
31.48	40.2	1 3 0
36.73	71.0	0 4 0
36.93	25.3	1 2 3
37.39	30.7	0 0 4
40.77	100.0	2 2 2
41.42	27.9	0 4 2
41.69	28.2	1 1 4

Atomic structure:
```
data_KHg7Pd5
_space_group_name_H-M_alt 'I m m 2'
_space_group_IT_number 44
_space_group_name_Hall 'I 2 -2'
_cell_length_a 5.795
_cell_length_b 9.783
_cell_length_c 9.620
_cell_angle_alpha 90.00
_cell_angle_beta 90.00
_cell_angle_gamma 90.00
loop_
_atom_site_label
_atom_site_fract_x
_atom_site_fract_y
_atom_site_fract_z
K1 0.000 0.000 0.000
Hg1 0.000 0.000 0.336
Hg2 0.000 0.000 0.674
Hg3 0.000 0.307 0.488
Hg4 0.000 0.335 0.006
Hg5 0.000 0.500 0.732
Pd1 0.000 0.500 0.253
Pd2 0.246 0.252 0.746
```